SmCu6Pd: computed X-ray powder pattern (Cu Ka), based on DFT lattice parameters and positions (GGA-PBE).
Lines closer than 0.1° are merged.

Structural model:
```
SmCu6Pd
1.0
4.929 0.000 0.000
0.000 4.929 0.000
0.000 0.000 4.929
Sm Cu Pd
1 6 1
direct
0.000 0.000 0.000 Sm
0.000 0.500 0.261 Cu
0.000 0.500 0.739 Cu
0.261 0.000 0.500 Cu
0.500 0.261 0.000 Cu
0.500 0.739 0.000 Cu
0.739 0.000 0.500 Cu
0.500 0.500 0.500 Pd
```

Largest 10 diffraction maxima, by angle, 2θ from 5° to 70°:
(1 0 0), 2θ 17.99, rel. 2; (1 1 0), 2θ 25.56, rel. 21; (1 1 1), 2θ 31.43, rel. 3; (2 0 0), 2θ 36.45, rel. 47; (2 0 1), 2θ 40.94, rel. 65; (2 1 1), 2θ 45.05, rel. 100; (2 2 0), 2θ 52.51, rel. 3; (3 1 0), 2θ 59.28, rel. 5; (2 2 2), 2θ 65.61, rel. 1; (3 2 0), 2θ 68.65, rel. 13